(1)
Simulated powder diffraction line list
Compound: CsZnClF2
Radiation: copper Kα
Structure: a cell relaxed with GGA-PBE
Lines closer than 0.1° are merged.

Structural model:
a b c (Å): 7.349 7.349 7.875
angles (deg): 90.00 90.00 148.63
Sites, in units of the cell vectors:
Cs (0.231, 0.769, 0.750)
Cs (0.769, 0.231, 0.250)
Zn (0.500, 0.500, 0.000)
Zn (0.500, 0.500, 0.500)
Cl (0.023, 0.977, 0.250)
Cl (0.977, 0.023, 0.750)
F (0.370, 0.630, 0.032)
F (0.370, 0.630, 0.468)
F (0.630, 0.370, 0.532)
F (0.630, 0.370, 0.968)

Largest 8 diffraction maxima, low angle first, 10° ≤ 2θ ≤ 90°:
2θ = 25.17°, 3.538 Å, I 320; 2θ = 25.89°, 3.441 Å, I 1000; 2θ = 31.56°, 2.835 Å, I 455; 2θ = 32.64°, 2.744 Å, I 452; 2θ = 41.73°, 2.164 Å, I 202; 2θ = 45.64°, 1.988 Å, I 443; 2θ = 53.24°, 1.720 Å, I 226; 2θ = 66.91°, 1.398 Å, I 140

(2)
Simulated powder diffraction line list
Compound: CsZnClF2
Radiation: copper Kα
Structure: a cell relaxed with GGA-PBE
Lines closer than 0.1° are merged.

Structural model:
a b c (Å): 4.513 4.513 4.776
angles (deg): 90.00 90.00 90.00
Sites, in units of the cell vectors:
Cs (0.000, 0.000, 0.000)
Zn (0.500, 0.500, 0.500)
Cl (0.500, 0.500, 0.000)
F (0.000, 0.500, 0.500)
F (0.500, 0.000, 0.500)

Largest 8 diffraction maxima, low angle first, 10° ≤ 2θ ≤ 90°:
2θ = 27.18°, 3.280 Å, I 1000; 2θ = 27.96°, 3.191 Å, I 671; 2θ = 33.78°, 2.653 Å, I 373; 2θ = 37.66°, 2.388 Å, I 293; 2θ = 39.95°, 2.256 Å, I 492; 2θ = 47.55°, 1.912 Å, I 307; 2θ = 49.00°, 1.859 Å, I 403; 2θ = 56.07°, 1.640 Å, I 342

(3)
Simulated powder diffraction line list
Compound: Cs2Fe3Cl9
Radiation: copper Kα
Structure: a cell relaxed with GGA-PBE
Lines closer than 0.1° are merged.

Structural model:
a b c (Å): 10.343 10.343 10.710
angles (deg): 107.50 107.50 109.07
Sites, in units of the cell vectors:
Cs (0.087, 0.771, 0.703)
Cs (0.229, 0.913, 0.297)
Cs (0.771, 0.087, 0.703)
Cs (0.913, 0.229, 0.297)
Fe (0.206, 0.443, 0.812)
Fe (0.372, 0.372, 0.169)
Fe (0.443, 0.206, 0.812)
Fe (0.557, 0.794, 0.188)
Fe (0.628, 0.628, 0.831)
Fe (0.794, 0.557, 0.188)
Cl (0.029, 0.599, 0.340)
Cl (0.157, 0.355, 0.980)
Cl (0.197, 0.197, 0.680)
Cl (0.265, 0.265, 0.285)
Cl (0.295, 0.705, 0.000)
Cl (0.355, 0.157, 0.980)
Cl (0.359, 0.554, 0.714)
Cl (0.401, 0.971, 0.660)
Cl (0.446, 0.641, 0.286)
Cl (0.554, 0.359, 0.714)
Cl (0.599, 0.029, 0.340)
Cl (0.641, 0.446, 0.286)
Cl (0.645, 0.843, 0.020)
Cl (0.705, 0.295, 0.000)
Cl (0.735, 0.735, 0.715)
Cl (0.803, 0.803, 0.320)
Cl (0.843, 0.645, 0.020)
Cl (0.971, 0.401, 0.660)

Largest 8 diffraction maxima, low angle first, 10° ≤ 2θ ≤ 90°:
2θ = 10.43°, 8.479 Å, I 428; 2θ = 18.02°, 4.923 Å, I 732; 2θ = 18.18°, 4.879 Å, I 584; 2θ = 19.38°, 4.579 Å, I 909; 2θ = 22.99°, 3.868 Å, I 878; 2θ = 23.16°, 3.840 Å, I 351; 2θ = 32.06°, 2.792 Å, I 1000; 2θ = 36.63°, 2.453 Å, I 488